For EuTlMo2O8, a GGA+U-relaxed structure gives the simulated powder diffraction line list in this record (Cu Kα X-rays).
Lines closer than 0.1° are merged.

Structural model:
Lattice parameters (Å, degrees): 6.365 6.365 9.697 90.00 90.00 90.00
Atoms (fractional coordinates):
Eu  0.250  0.250  0.250
Eu  0.750  0.750  0.750
Tl  0.250  0.250  0.750
Tl  0.750  0.750  0.250
Mo  0.250  0.750  0.000
Mo  0.250  0.750  0.500
Mo  0.750  0.250  0.000
Mo  0.750  0.250  0.500
O  0.055  0.635  0.611
O  0.055  0.865  0.889
O  0.135  0.555  0.111
O  0.135  0.945  0.389
O  0.365  0.555  0.389
O  0.365  0.945  0.111
O  0.445  0.635  0.889
O  0.445  0.865  0.611
O  0.555  0.135  0.389
O  0.555  0.365  0.111
O  0.635  0.055  0.889
O  0.635  0.445  0.611
O  0.865  0.055  0.611
O  0.865  0.445  0.889
O  0.945  0.135  0.111
O  0.945  0.365  0.389

The 8 most intense peaks (10 to 80 degrees two-theta), sorted by position:
| d (Å) | I (rel.) |
| --- | --- |
| 3.299 | 100.0 |
| 3.183 | 37.5 |
| 2.250 | 16.3 |
| 1.929 | 24.3 |
| 1.859 | 37.0 |
| 1.649 | 13.4 |
| 1.260 | 11.4 |
| 1.209 | 9.6 |

***

For Eu2Mo2WO12, a GGA+U-relaxed structure gives the simulated powder diffraction line list in this record (Cu Kα X-rays).
Lines closer than 0.1° are merged.

Structural model:
Lattice parameters (Å, degrees): 7.063 7.063 11.710 100.73 100.73 112.29
Atoms (fractional coordinates):
Eu  0.049  0.304  0.093
Eu  0.304  0.049  0.593
Eu  0.696  0.951  0.407
Eu  0.951  0.696  0.907
Mo  0.199  0.486  0.450
Mo  0.486  0.199  0.950
Mo  0.514  0.801  0.050
Mo  0.801  0.514  0.550
W  0.120  0.880  0.250
W  0.880  0.120  0.750
O  0.011  0.594  0.218
O  0.029  0.948  0.112
O  0.052  0.971  0.388
O  0.099  0.675  0.574
O  0.204  0.351  0.304
O  0.230  0.632  0.042
O  0.325  0.901  0.926
O  0.327  0.397  0.557
O  0.351  0.204  0.804
O  0.368  0.770  0.458
O  0.397  0.327  0.057
O  0.406  0.989  0.282
O  0.594  0.011  0.718
O  0.603  0.673  0.943
O  0.632  0.230  0.542
O  0.649  0.796  0.196
O  0.673  0.603  0.443
O  0.675  0.099  0.074
O  0.770  0.368  0.958
O  0.796  0.649  0.696
O  0.901  0.325  0.426
O  0.948  0.029  0.612
O  0.971  0.052  0.888
O  0.989  0.406  0.782

The 8 most intense peaks (10 to 80 degrees two-theta), sorted by position:
| d (Å) | I (rel.) |
| --- | --- |
| 6.267 | 45.4 |
| 3.658 | 41.1 |
| 3.268 | 100.0 |
| 3.117 | 77.0 |
| 2.933 | 27.0 |
| 2.687 | 32.2 |
| 1.981 | 47.3 |
| 1.664 | 23.7 |

***

For Eu2MoW2O12, a GGA+U-relaxed structure gives the simulated powder diffraction line list in this record (Cu Kα X-rays).
Lines closer than 0.1° are merged.

Structural model:
Lattice parameters (Å, degrees): 7.117 7.117 11.583 100.73 100.73 112.04
Atoms (fractional coordinates):
Eu  0.054  0.306  0.094
Eu  0.306  0.054  0.594
Eu  0.694  0.946  0.406
Eu  0.946  0.694  0.906
Mo  0.120  0.880  0.250
Mo  0.880  0.120  0.750
W  0.202  0.494  0.454
W  0.494  0.202  0.954
W  0.506  0.798  0.046
W  0.798  0.506  0.546
O  0.015  0.601  0.222
O  0.025  0.944  0.111
O  0.056  0.975  0.389
O  0.098  0.676  0.571
O  0.200  0.356  0.304
O  0.226  0.622  0.038
O  0.324  0.902  0.929
O  0.329  0.399  0.562
O  0.356  0.200  0.804
O  0.378  0.774  0.462
O  0.399  0.329  0.062
O  0.399  0.985  0.278
O  0.601  0.015  0.722
O  0.601  0.671  0.938
O  0.622  0.226  0.538
O  0.644  0.800  0.196
O  0.671  0.601  0.438
O  0.676  0.098  0.071
O  0.774  0.378  0.962
O  0.800  0.644  0.696
O  0.902  0.324  0.429
O  0.944  0.025  0.611
O  0.975  0.056  0.889
O  0.985  0.399  0.778

The 8 most intense peaks (10 to 80 degrees two-theta), sorted by position:
| d (Å) | I (rel.) |
| --- | --- |
| 5.461 | 34.5 |
| 5.192 | 15.4 |
| 3.298 | 100.0 |
| 3.098 | 65.1 |
| 2.951 | 26.8 |
| 1.992 | 20.6 |
| 1.989 | 15.2 |
| 1.980 | 19.4 |

***

- Number 3 is which compound?
  Eu2MoW2O12

***

- Number 2 is which compound?
  Eu2Mo2WO12